For NaBe3Cr4O12, a cell relaxed with PBE+U gives the simulated X-ray powder pattern in this record (copper Kα).
Intensities are scaled so that the largest is 100.

```
data_NaBe3Cr4O12
_symmetry_space_group_name_H-M 'I m -3'
_symmetry_Int_Tables_number 204
_symmetry_space_group_name_Hall '-I 2 2 3'
_cell_length_a 7.1236
_cell_length_b 7.1236
_cell_length_c 7.1236
_cell_angle_alpha 90.00
_cell_angle_beta 90.00
_cell_angle_gamma 90.00
loop_
_atom_site_label
_atom_site_type_symbol
_atom_site_fract_x
_atom_site_fract_y
_atom_site_fract_z
Na1 Na 0.0000 0.0000 0.0000
Be1 Be 0.0000 0.0000 0.5000
Cr1 Cr 0.2500 0.2500 0.2500
O1 O 0.0000 0.3240 0.1643
```

Top 6 peaks for 15 to 90 degrees two-theta, by angle:
| 2theta | d_spacing | I_rel | index |
| --- | --- | --- | --- |
| 25.00 | 3.562 | 97 | 2 0 0 |
| 35.65 | 2.519 | 100 | 2 2 0 |
| 40.02 | 2.253 | 38 | 3 0 1 |
| 51.30 | 1.781 | 27 | 4 0 0 |
| 57.89 | 1.593 | 46 | 4 2 0 |
| 64.03 | 1.454 | 64 | 4 2 2 |